Record 1
The following is a computed PXRD pattern of NdSi2Ir2. It was derived from a crystal structure in the Materials Project, relaxed with PBE, using CuKα.
No peak broadening, texture or thermal motion is included.

Principal peaks in the range 10° ≤ 2θ ≤ 90°, in order of falling intensity:
- 2θ 34.28, I = 100, hkl 1 0 3
- 2θ 29.74, I = 77, hkl 1 1 0
- 2θ 55.74, I = 50, hkl 2 1 3
- 2θ 42.56, I = 46, hkl 2 0 0
- 2θ 50.61, I = 18, hkl 1 0 5
- 2θ 47.42, I = 16, hkl 1 1 4
- 2θ 22.76, I = 16, hkl 1 0 1
- 2θ 61.76, I = 15, hkl 2 2 0

Crystal structure
```
data_NdSi2Ir2
_cell_length_a 4.2486
_cell_length_b 4.2486
_cell_length_c 9.9596
_cell_angle_alpha 90.00
_cell_angle_beta 90.00
_cell_angle_gamma 90.00
_symmetry_space_group_name_H-M 'I 4/m m m'
_symmetry_Int_Tables_number 139
_symmetry_space_group_name_Hall '-I 4 2'
loop_
_atom_site_label
_atom_site_fract_x
_atom_site_fract_y
_atom_site_fract_z
Nd1 0.0000 0.0000 0.0000
Si1 0.0000 0.5000 0.2500
Ir1 0.0000 0.0000 0.3666
```

Record 2
The following is a computed PXRD pattern of LaPm3. It was derived from a crystal structure in the Materials Project, relaxed with PBE, using CuKα.
No peak broadening, texture or thermal motion is included.

Principal peaks in the range 10° ≤ 2θ ≤ 90°, in order of falling intensity:
- 2θ 31.62, I = 100, hkl 2 0 1
- 2θ 29.90, I = 26, hkl 0 0 2
- 2θ 27.77, I = 23, hkl 2 0 0
- 2θ 58.58, I = 23, hkl 2 2 2
- 2θ 54.17, I = 22, hkl 2 0 3
- 2θ 49.12, I = 19, hkl 2 2 0
- 2θ 59.60, I = 16, hkl 4 0 1
- 2θ 41.26, I = 16, hkl 2 0 2

Crystal structure
```
data_LaPm3
_cell_length_a 7.4184
_cell_length_b 7.4184
_cell_length_c 5.9773
_cell_angle_alpha 90.00
_cell_angle_beta 90.00
_cell_angle_gamma 120.00
_symmetry_space_group_name_H-M 'P 63/m m c'
_symmetry_Int_Tables_number 194
_symmetry_space_group_name_Hall '-P 6c 2c'
loop_
_atom_site_label
_atom_site_fract_x
_atom_site_fract_y
_atom_site_fract_z
La1 0.3333 0.6667 0.2500
Pm1 0.1659 0.3318 0.7500
```

Record 3
The following is a computed PXRD pattern of Ce2AlGe6. It was derived from a crystal structure in the Materials Project, relaxed with PBE, using CuKα.
No peak broadening, texture or thermal motion is included.

Principal peaks in the range 10° ≤ 2θ ≤ 90°, in order of falling intensity:
- 2θ 32.33, I = 100, hkl 2 2 -2
- 2θ 36.73, I = 30, hkl 2 2 2
- 2θ 41.85, I = 24, hkl 0 4 0
- 2θ 42.88, I = 21, hkl 4 0 -1
- 2θ 33.03, I = 21, hkl 0 2 3
- 2θ 34.30, I = 20, hkl 0 0 4
- 2θ 24.67, I = 13, hkl 2 0 -2
- 2θ 26.78, I = 13, hkl 0 2 2

Crystal structure
```
data_Ce2AlGe6
_cell_length_a 8.4368
_cell_length_b 8.6352
_cell_length_c 10.6751
_cell_angle_alpha 90.00
_cell_angle_beta 101.61
_cell_angle_gamma 90.00
_symmetry_space_group_name_H-M 'C 1 2/m 1'
_symmetry_Int_Tables_number 12
loop_
_symmetry_equiv_pos_as_xyz
'x,y,z'
'-x,-y,-z'
'-x,y,-z'
'x,-y,z'
'x+1/2,y+1/2,z'
'-x+1/2,-y+1/2,-z'
'-x+1/2,y+1/2,-z'
'x+1/2,-y+1/2,z'
loop_
_atom_site_label
_atom_site_fract_x
_atom_site_fract_y
_atom_site_fract_z
Ce1 0.0849 0.2487 0.3364
Al1 0.1996 0.0000 0.8014
Ge1 0.0082 0.5000 0.8836
Ge2 0.0673 0.0000 0.1161
Ge3 0.1386 0.5000 0.5845
Ge4 0.1472 0.0000 0.5622
Ge5 0.2204 0.2854 0.8839
```